This entry pairs a crystal structure of Cs3TcBr with its calculated XRD peak list. Radiation: Cu Kα X-rays. Structure: a crystal structure in Alexandria, relaxed with PBE.
Neutral-atom scattering factors, no anomalous dispersion.

Peak list (6 most intense, 2θ from 5° to 70°, by intensity)
Position (°2θ)  Rel. int.  index
30.42  100.0  2 0 0
26.27  81.8  1 1 1
43.56  73.1  2 2 0
51.59  37.2  3 1 1
15.08  36.7  1 0 0
54.06  25.7  2 2 2

Atomic structure:
```
data_Cs3TcBr
_cell_length_a 5.876
_cell_length_b 5.876
_cell_length_c 5.876
_cell_angle_alpha 90.00
_cell_angle_beta 90.00
_cell_angle_gamma 90.00
_space_group_name_H-M_alt 'P m -3 m'
_space_group_IT_number 221
_space_group_name_Hall '-P 4 2 3'
loop_
_atom_site_label
_atom_site_type_symbol
_atom_site_fract_x
_atom_site_fract_y
_atom_site_fract_z
Cs1 Cs 0.000 0.000 0.500
Tc1 Tc 0.000 0.000 0.000
Br1 Br 0.500 0.500 0.500
```